No. 1
Diffraction record for GdEr2Lu. The powder diffractogram is calculated, not measured: it uses a structure optimized by DFT (PBE) and copper Kα.
No peak broadening, texture or thermal motion is included.

Largest 10 diffraction maxima, sorted by position, 15 to 90 degrees two-theta:
2theta  I/Imax
28.9  24
32.1  24
33.2  100
43.8  16
51.3  20
58.0  20
61.8  22
62.5  16
85.0  14
89.3  9

Crystal structure
```
data_GdEr2Lu
_cell_length_a 5.571
_cell_length_b 7.125
_cell_length_c 7.125
_cell_angle_alpha 119.99
_cell_angle_beta 90.00
_cell_angle_gamma 90.00
_symmetry_space_group_name_H-M 'P 1'
_symmetry_Int_Tables_number 1
loop_
_symmetry_equiv_pos_as_xyz
'x,y,z'
loop_
_atom_site_label
_atom_site_type_symbol
_atom_site_fract_x
_atom_site_fract_y
_atom_site_fract_z
_atom_site_occupancy
Gd1 Gd 0.250 0.167 0.833 1
Gd2 Gd 0.750 0.833 0.167 1
Er1 Er 0.250 0.168 0.334 1
Er2 Er 0.250 0.666 0.334 1
Er3 Er 0.750 0.334 0.168 1
Er4 Er 0.750 0.334 0.666 1
Lu1 Lu 0.250 0.666 0.831 1
Lu2 Lu 0.750 0.831 0.666 1
```

No. 2
Diffraction record for GdErLu2. The powder diffractogram is calculated, not measured: it uses a structure optimized by DFT (PBE) and copper Kα.
No peak broadening, texture or thermal motion is included.

Largest 10 diffraction maxima, sorted by position, 15 to 90 degrees two-theta:
2theta  I/Imax
29.0  24
32.3  24
33.3  100
44.0  16
51.4  20
58.3  20
62.1  22
62.7  16
85.3  14
89.8  9

Crystal structure
```
data_GdErLu2
_cell_length_a 5.539
_cell_length_b 7.105
_cell_length_c 7.105
_cell_angle_alpha 120.00
_cell_angle_beta 90.00
_cell_angle_gamma 90.00
_symmetry_space_group_name_H-M 'P 1'
_symmetry_Int_Tables_number 1
loop_
_symmetry_equiv_pos_as_xyz
'x,y,z'
loop_
_atom_site_label
_atom_site_type_symbol
_atom_site_fract_x
_atom_site_fract_y
_atom_site_fract_z
_atom_site_occupancy
Gd1 Gd 0.250 0.167 0.833 1
Gd2 Gd 0.750 0.833 0.167 1
Er1 Er 0.250 0.666 0.831 1
Er2 Er 0.750 0.831 0.666 1
Lu1 Lu 0.250 0.169 0.335 1
Lu2 Lu 0.250 0.666 0.334 1
Lu3 Lu 0.750 0.334 0.666 1
Lu4 Lu 0.750 0.335 0.169 1
```

No. 3
Diffraction record for Gd5Er2Lu. The powder diffractogram is calculated, not measured: it uses a structure optimized by DFT (PBE) and copper Kα.
No peak broadening, texture or thermal motion is included.

Largest 10 diffraction maxima, sorted by position, 15 to 90 degrees two-theta:
2theta  I/Imax
28.6  24
31.7  24
32.8  100
43.3  16
50.7  20
57.2  21
61.1  23
61.7  16
83.8  9
88.0  8

Crystal structure
```
data_Gd5Er2Lu
_cell_length_a 5.639
_cell_length_b 7.201
_cell_length_c 7.201
_cell_angle_alpha 60.08
_cell_angle_beta 90.00
_cell_angle_gamma 90.00
_symmetry_space_group_name_H-M 'P 1'
_symmetry_Int_Tables_number 1
loop_
_symmetry_equiv_pos_as_xyz
'x,y,z'
loop_
_atom_site_label
_atom_site_type_symbol
_atom_site_fract_x
_atom_site_fract_y
_atom_site_fract_z
_atom_site_occupancy
Gd1 Gd 0.000 0.000 0.000 1
Gd2 Gd 0.000 0.000 0.501 1
Gd3 Gd 0.000 0.501 0.000 1
Gd4 Gd 0.500 0.333 0.834 1
Gd5 Gd 0.500 0.834 0.333 1
Er1 Er 0.000 0.500 0.500 1
Er2 Er 0.500 0.834 0.834 1
Lu1 Lu 0.500 0.334 0.334 1
```

No. 4
Diffraction record for GdEr2Lu. The powder diffractogram is calculated, not measured: it uses a structure optimized by DFT (PBE) and copper Kα.
No peak broadening, texture or thermal motion is included.

Largest 10 diffraction maxima, sorted by position, 15 to 90 degrees two-theta:
2theta  I/Imax
28.9  24
32.1  24
33.2  100
43.8  16
51.3  20
58.0  20
61.8  22
62.5  16
85.0  14
89.3  9

Crystal structure
```
data_GdEr2Lu
_cell_length_a 7.126
_cell_length_b 7.126
_cell_length_c 5.571
_cell_angle_alpha 90.00
_cell_angle_beta 90.00
_cell_angle_gamma 120.01
_symmetry_space_group_name_H-M 'P 1'
_symmetry_Int_Tables_number 1
loop_
_symmetry_equiv_pos_as_xyz
'x,y,z'
loop_
_atom_site_label
_atom_site_type_symbol
_atom_site_fract_x
_atom_site_fract_y
_atom_site_fract_z
_atom_site_occupancy
Gd1 Gd 0.167 0.833 0.750 1
Gd2 Gd 0.833 0.167 0.250 1
Er1 Er 0.169 0.334 0.750 1
Er2 Er 0.334 0.169 0.250 1
Er3 Er 0.666 0.831 0.750 1
Er4 Er 0.831 0.666 0.250 1
Lu1 Lu 0.334 0.666 0.250 1
Lu2 Lu 0.666 0.334 0.750 1
```

No. 5
Diffraction record for Gd3Er2Lu3. The powder diffractogram is calculated, not measured: it uses a structure optimized by DFT (PBE) and copper Kα.
No peak broadening, texture or thermal motion is included.

Largest 10 diffraction maxima, sorted by position, 15 to 90 degrees two-theta:
2theta  I/Imax
28.9  24
32.2  24
33.1  100
43.8  16
51.1  20
58.0  20
61.7  22
62.3  16
84.7  14
89.2  9

Crystal structure
```
data_Gd3Er2Lu3
_cell_length_a 7.145
_cell_length_b 7.145
_cell_length_c 5.566
_cell_angle_alpha 90.00
_cell_angle_beta 90.00
_cell_angle_gamma 120.00
_symmetry_space_group_name_H-M 'P 1'
_symmetry_Int_Tables_number 1
loop_
_symmetry_equiv_pos_as_xyz
'x,y,z'
loop_
_atom_site_label
_atom_site_type_symbol
_atom_site_fract_x
_atom_site_fract_y
_atom_site_fract_z
_atom_site_occupancy
Gd1 Gd 0.000 0.500 0.000 1
Gd2 Gd 0.500 0.000 0.000 1
Gd3 Gd 0.500 0.500 0.000 1
Er1 Er 0.000 0.000 0.000 1
Er2 Er 0.333 0.667 0.500 1
Lu1 Lu 0.334 0.167 0.500 1
Lu2 Lu 0.833 0.167 0.500 1
Lu3 Lu 0.833 0.666 0.500 1
```

No. 6
Diffraction record for Gd2ErLu. The powder diffractogram is calculated, not measured: it uses a structure optimized by DFT (PBE) and copper Kα.
No peak broadening, texture or thermal motion is included.

Largest 10 diffraction maxima, sorted by position, 15 to 90 degrees two-theta:
2theta  I/Imax
28.8  24
31.9  24
33.0  100
43.5  16
50.9  20
57.6  21
61.4  23
62.0  16
84.3  9
88.6  9

Crystal structure
```
data_Gd2ErLu
_cell_length_a 7.168
_cell_length_b 7.168
_cell_length_c 5.606
_cell_angle_alpha 90.00
_cell_angle_beta 90.00
_cell_angle_gamma 119.93
_symmetry_space_group_name_H-M 'P 1'
_symmetry_Int_Tables_number 1
loop_
_symmetry_equiv_pos_as_xyz
'x,y,z'
loop_
_atom_site_label
_atom_site_type_symbol
_atom_site_fract_x
_atom_site_fract_y
_atom_site_fract_z
_atom_site_occupancy
Gd1 Gd 0.166 0.334 0.250 1
Gd2 Gd 0.334 0.166 0.750 1
Gd3 Gd 0.666 0.834 0.250 1
Gd4 Gd 0.834 0.666 0.750 1
Er1 Er 0.168 0.832 0.250 1
Er2 Er 0.832 0.168 0.750 1
Lu1 Lu 0.333 0.667 0.750 1
Lu2 Lu 0.667 0.333 0.250 1
```

No. 7
Diffraction record for GdErMg2. The powder diffractogram is calculated, not measured: it uses a structure optimized by DFT (PBE) and copper Kα.
No peak broadening, texture or thermal motion is included.

Largest 10 diffraction maxima, sorted by position, 15 to 90 degrees two-theta:
2theta  I/Imax
23.5  63
33.5  100
41.4  20
48.1  18
54.2  27
59.9  38
70.4  12
75.4  13
80.3  16
85.1  8

Crystal structure
```
data_GdErMg2
_cell_length_a 5.349
_cell_length_b 5.349
_cell_length_c 3.781
_cell_angle_alpha 90.00
_cell_angle_beta 90.00
_cell_angle_gamma 90.00
_symmetry_space_group_name_H-M 'P 1'
_symmetry_Int_Tables_number 1
loop_
_symmetry_equiv_pos_as_xyz
'x,y,z'
loop_
_atom_site_label
_atom_site_type_symbol
_atom_site_fract_x
_atom_site_fract_y
_atom_site_fract_z
_atom_site_occupancy
Gd1 Gd 0.000 0.000 0.000 1
Er1 Er 0.500 0.500 0.000 1
Mg1 Mg 0.000 0.500 0.500 1
Mg2 Mg 0.500 0.000 0.500 1
```

No. 8
Diffraction record for Gd2ErMg. The powder diffractogram is calculated, not measured: it uses a structure optimized by DFT (PBE) and copper Kα.
No peak broadening, texture or thermal motion is included.

Largest 10 diffraction maxima, sorted by position, 15 to 90 degrees two-theta:
2theta  I/Imax
21.7  14
29.2  23
29.9  16
31.9  35
33.4  100
34.0  40
43.8  15
52.6  17
57.8  21
62.9  19

Crystal structure
```
data_Gd2ErMg
_cell_length_a 5.606
_cell_length_b 6.963
_cell_length_c 6.963
_cell_angle_alpha 61.53
_cell_angle_beta 90.00
_cell_angle_gamma 90.00
_symmetry_space_group_name_H-M 'P 1'
_symmetry_Int_Tables_number 1
loop_
_symmetry_equiv_pos_as_xyz
'x,y,z'
loop_
_atom_site_label
_atom_site_type_symbol
_atom_site_fract_x
_atom_site_fract_y
_atom_site_fract_z
_atom_site_occupancy
Gd1 Gd 0.000 0.000 0.000 1
Gd2 Gd 0.000 0.001 0.502 1
Gd3 Gd 0.000 0.502 0.001 1
Gd4 Gd 0.500 0.676 0.676 1
Er1 Er 0.000 0.502 0.502 1
Er2 Er 0.500 0.178 0.178 1
Mg1 Mg 0.500 0.177 0.669 1
Mg2 Mg 0.500 0.669 0.177 1
```

No. 9
Diffraction record for GdEr2Mg3Pd2Pt. The powder diffractogram is calculated, not measured: it uses a structure optimized by DFT (PBE) and copper Kα.
No peak broadening, texture or thermal motion is included.

Largest 10 diffraction maxima, sorted by position, 15 to 90 degrees two-theta:
2theta  I/Imax
21.7  22
24.2  39
28.0  30
32.7  62
35.7  100
42.5  34
43.5  33
44.1  23
63.0  21
68.0  27

Crystal structure
```
data_GdEr2Mg3Pd2Pt
_cell_length_a 4.103
_cell_length_b 7.362
_cell_length_c 7.362
_cell_angle_alpha 119.91
_cell_angle_beta 90.00
_cell_angle_gamma 90.00
_symmetry_space_group_name_H-M 'P 1'
_symmetry_Int_Tables_number 1
loop_
_symmetry_equiv_pos_as_xyz
'x,y,z'
loop_
_atom_site_label
_atom_site_type_symbol
_atom_site_fract_x
_atom_site_fract_y
_atom_site_fract_z
_atom_site_occupancy
Gd1 Gd 0.000 0.000 0.000 1
Er1 Er 0.000 0.409 0.815 1
Er2 Er 0.000 0.815 0.409 1
Mg1 Mg 0.500 0.165 0.410 1
Mg2 Mg 0.500 0.410 0.165 1
Mg3 Mg 0.500 0.653 0.653 1
Pd1 Pd 0.500 0.077 0.739 1
Pd2 Pd 0.500 0.739 0.077 1
Pt1 Pt 0.000 0.412 0.412 1
```

No. 10
Diffraction record for GdErTm2Mg2. The powder diffractogram is calculated, not measured: it uses a structure optimized by DFT (PBE) and copper Kα.
No peak broadening, texture or thermal motion is included.

Largest 10 diffraction maxima, sorted by position, 15 to 90 degrees two-theta:
2theta  I/Imax
19.3  12
25.3  17
26.4  26
31.1  20
32.9  30
33.7  100
35.3  19
44.6  14
45.9  14
59.2  20

Crystal structure
```
data_GdErTm2Mg2
_cell_length_a 5.444
_cell_length_b 8.801
_cell_length_c 8.801
_cell_angle_alpha 23.62
_cell_angle_beta 90.00
_cell_angle_gamma 90.00
_symmetry_space_group_name_H-M 'P 1'
_symmetry_Int_Tables_number 1
loop_
_symmetry_equiv_pos_as_xyz
'x,y,z'
loop_
_atom_site_label
_atom_site_type_symbol
_atom_site_fract_x
_atom_site_fract_y
_atom_site_fract_z
_atom_site_occupancy
Gd1 Gd 0.000 0.000 0.000 1
Er1 Er 0.500 0.809 0.809 1
Tm1 Tm 0.000 0.679 0.679 1
Tm2 Tm 0.500 0.132 0.132 1
Mg1 Mg 0.000 0.339 0.339 1
Mg2 Mg 0.500 0.469 0.469 1
```

No. 11
Diffraction record for GdErPbN. The powder diffractogram is calculated, not measured: it uses a structure optimized by DFT (PBE) and copper Kα.
No peak broadening, texture or thermal motion is included.

Largest 10 diffraction maxima, sorted by position, 15 to 90 degrees two-theta:
2theta  I/Imax
29.1  22
33.9  100
34.4  20
45.6  16
51.5  22
61.3  18
63.1  17
63.4  21
84.1  8
85.7  15

Crystal structure
```
data_GdErPbN
_cell_length_a 3.548
_cell_length_b 3.548
_cell_length_c 15.642
_cell_angle_alpha 90.00
_cell_angle_beta 90.00
_cell_angle_gamma 120.00
_symmetry_space_group_name_H-M 'P 1'
_symmetry_Int_Tables_number 1
loop_
_symmetry_equiv_pos_as_xyz
'x,y,z'
loop_
_atom_site_label
_atom_site_type_symbol
_atom_site_fract_x
_atom_site_fract_y
_atom_site_fract_z
_atom_site_occupancy
Gd1 Gd 0.333 0.667 0.415 1
Gd2 Gd 0.667 0.333 0.585 1
Er1 Er 0.333 0.667 0.082 1
Er2 Er 0.667 0.333 0.918 1
Pb1 Pb 0.333 0.667 0.754 1
Pb2 Pb 0.667 0.333 0.246 1
N1 N 0.000 0.000 0.000 1
N2 N 0.000 0.000 0.500 1
```

No. 12
Diffraction record for GdErNb. The powder diffractogram is calculated, not measured: it uses a structure optimized by DFT (PBE) and copper Kα.
No peak broadening, texture or thermal motion is included.

Largest 10 diffraction maxima, sorted by position, 15 to 90 degrees two-theta:
2theta  I/Imax
21.5  13
24.9  36
35.5  100
43.9  11
51.1  18
57.7  15
63.8  36
75.2  11
80.6  7
86.0  16

Crystal structure
```
data_GdErNb
_cell_length_a 5.056
_cell_length_b 5.056
_cell_length_c 5.056
_cell_angle_alpha 60.00
_cell_angle_beta 60.00
_cell_angle_gamma 60.00
_symmetry_space_group_name_H-M 'P 1'
_symmetry_Int_Tables_number 1
loop_
_symmetry_equiv_pos_as_xyz
'x,y,z'
loop_
_atom_site_label
_atom_site_type_symbol
_atom_site_fract_x
_atom_site_fract_y
_atom_site_fract_z
_atom_site_occupancy
Gd1 Gd 0.000 0.000 0.000 1
Er1 Er 0.500 0.500 0.500 1
Nb1 Nb 0.750 0.750 0.750 1
```

What is the formula in the sixth record?
Gd2ErLu